Record 1
For Mg3H9Rh4, DFT lattice parameters and positions (PBE) gives the calculated powder X-ray diffraction pattern in this record (Cu Kα (λ = 1.5418 Å)).

The 10 most intense peaks (10° ≤ 2θ ≤ 80°), sorted by position:
| 2theta | I_rel | h k l |
| --- | --- | --- |
| 22.93 | 51 | 0 1 2 |
| 30.07 | 20 | 0 1 5 |
| 36.69 | 100 | 1 0 7 |
| 37.37 | 96 | 1 1 0 |
| 53.37 | 35 | 0 2 7 |
| 54.53 | 11 | 1 1 9 |
| 65.62 | 20 | 0 1 14 |
| 66.96 | 33 | 2 1 7 |
| 67.40 | 16 | 3 0 0 |
| 78.03 | 11 | 2 0 14 |

Atomic structure:
```
data_Mg3H9Rh4
_chemical_formula_sum 'Mg9 H27 Rh12'
_cell_length_a 4.8129
_cell_length_b 4.8129
_cell_length_c 21.1901
_cell_angle_alpha 90.00
_cell_angle_beta 90.00
_cell_angle_gamma 120.00
_symmetry_space_group_name_H-M 'R 3 2'
_symmetry_Int_Tables_number 155
_symmetry_space_group_name_Hall 'R 3 2"'
loop_
_atom_site_label
_atom_site_type_symbol
_atom_site_fract_x
_atom_site_fract_y
_atom_site_fract_z
_atom_site_occupancy
Mg1 Mg 0.0000 0.0000 0.0000 1
Mg2 Mg 0.0000 0.0000 0.4298 1
H1 H 0.0000 0.4682 0.0000 1
H2 H 0.0000 0.5159 0.4335 1
Rh1 Rh 0.0000 0.0000 0.1456 1
Rh2 Rh 0.0000 0.0000 0.2859 1
```

=====

Record 2
For Na3TiB2O6, DFT lattice parameters and positions (PBE) gives the calculated powder X-ray diffraction pattern in this record (Cu Kα (λ = 1.5418 Å)).

The 10 most intense peaks (10° ≤ 2θ ≤ 80°), sorted by position:
| 2theta | I_rel | h k l |
| --- | --- | --- |
| 14.70 | 57 | 0 0 1 |
| 19.69 | 52 | 1 0 0 |
| 29.65 | 20 | 0 0 2 |
| 34.46 | 64 | 1 1 0 |
| 35.85 | 100 | 1 0 2 |
| 42.83 | 70 | 2 0 1 |
| 50.57 | 75 | 2 0 2 |
| 61.87 | 19 | 0 2 3 |
| 62.63 | 20 | 2 1 2 |
| 72.65 | 23 | 2 2 0 |

Atomic structure:
```
data_Na3TiB2O6
_chemical_formula_sum 'Na3 Ti1 B2 O6'
_cell_length_a 5.2056
_cell_length_b 5.2056
_cell_length_c 6.0261
_cell_angle_alpha 90.00
_cell_angle_beta 90.00
_cell_angle_gamma 120.00
_symmetry_space_group_name_H-M 'P -3 m 1'
_symmetry_Int_Tables_number 164
_symmetry_space_group_name_Hall '-P 3 2"'
loop_
_atom_site_label
_atom_site_type_symbol
_atom_site_fract_x
_atom_site_fract_y
_atom_site_fract_z
_atom_site_occupancy
Na1 Na 0.0000 0.0000 0.0000 1
Na2 Na 0.3333 0.6667 0.7406 1
Ti1 Ti 0.0000 0.0000 0.5000 1
B1 B 0.3333 0.6667 0.2892 1
O1 O 0.1800 0.3599 0.2895 1
```

=====

Record 3
For HfTaB3, DFT lattice parameters and positions (PBE) gives the calculated powder X-ray diffraction pattern in this record (Cu Kα (λ = 1.5418 Å)).

The 10 most intense peaks (10° ≤ 2θ ≤ 80°), sorted by position:
| 2theta | I_rel | h k l |
| --- | --- | --- |
| 26.61 | 64 | 1 1 0 |
| 33.78 | 100 | 0 4 1 |
| 36.65 | 30 | 0 8 0 |
| 41.41 | 96 | 1 3 1 |
| 41.77 | 65 | 1 7 0 |
| 53.95 | 18 | 2 0 0 |
| 58.50 | 14 | 0 0 2 |
| 65.18 | 31 | 2 4 1 |
| 66.17 | 31 | 1 11 1 |
| 74.44 | 24 | 1 7 2 |

Atomic structure:
```
data_HfTaB3
_chemical_formula_sum 'Hf4 Ta4 B12'
_cell_length_a 3.3993
_cell_length_b 19.6175
_cell_length_c 3.1554
_cell_angle_alpha 90.00
_cell_angle_beta 90.00
_cell_angle_gamma 90.00
_symmetry_space_group_name_H-M 'C m c m'
_symmetry_Int_Tables_number 63
_symmetry_space_group_name_Hall '-C 2c 2'
loop_
_atom_site_label
_atom_site_type_symbol
_atom_site_fract_x
_atom_site_fract_y
_atom_site_fract_z
_atom_site_occupancy
Hf1 Hf 0.0000 0.0699 0.2500 1
Ta1 Ta 0.0000 0.2041 0.7500 1
B1 B 0.0000 0.3336 0.7500 1
B2 B 0.0000 0.3836 0.2500 1
B3 B 0.0000 0.4765 0.2500 1
```